# 1
The following is a theoretical X-ray diffraction stick pattern of NpPaS2. It was derived from a cell relaxed with GGA-PBE, using Cu Kα, 1.54184 Å.
Peak positions follow from Bragg's law for the DFT cell and can differ from measured ones.

The 10 most intense peaks (2θ = 10–80°), low angle first:
- 2θ 28.08, I 80
- 2θ 28.24, I 26
- 2θ 32.58, I 100
- 2θ 46.64, I 37
- 2θ 46.85, I 37
- 2θ 55.38, I 40
- 2θ 55.60, I 13
- 2θ 58.04, I 19
- 2θ 77.53, I 17
- 2θ 77.84, I 17

Atomic structure:
```
NpPaS2
1.0
1.9476 1.1244 6.3205
-1.9476 1.1244 6.3205
0.0000 -2.2489 6.3205
Np Pa S
1 1 2
direct
0.0000 0.0000 0.0000 Np
0.5000 0.5000 0.5000 Pa
0.2520 0.2520 0.2520 S
0.7480 0.7480 0.7480 S
```

# 2
The following is a theoretical X-ray diffraction stick pattern of CaLa3Dy2Y6. It was derived from a cell relaxed with GGA-PBE, using Cu Kα, 1.54184 Å.
Peak positions follow from Bragg's law for the DFT cell and can differ from measured ones.

The 10 most intense peaks (2θ = 10–80°), low angle first:
- 2θ 30.08, I 100
- 2θ 30.31, I 32
- 2θ 34.93, I 66
- 2θ 50.08, I 24
- 2θ 50.39, I 23
- 2θ 59.53, I 14
- 2θ 59.67, I 28
- 2θ 59.94, I 14
- 2θ 62.52, I 12
- 2θ 73.79, I 7

Atomic structure:
```
CaLa3Dy2Y6
1.0
3.1540 -5.4648 0.0000
3.1540 5.4648 0.0000
-2.1040 0.0000 11.7957
Ca La Dy Y
1 3 2 6
direct
0.0000 0.0000 0.0000 Ca
0.1655 0.8345 0.5000 La
0.5000 0.5000 0.5000 La
0.8345 0.1655 0.5000 La
0.3335 0.6665 0.0000 Dy
0.6665 0.3335 0.0000 Dy
0.0828 0.4216 0.2482 Y
0.2559 0.2559 0.7521 Y
0.4216 0.0828 0.2482 Y
0.5784 0.9172 0.7518 Y
0.7441 0.7441 0.2479 Y
0.9172 0.5784 0.7518 Y
```

# 3
The following is a theoretical X-ray diffraction stick pattern of Pu2TaN3. It was derived from a cell relaxed with GGA-PBE, using Cu Kα, 1.54184 Å.
Peak positions follow from Bragg's law for the DFT cell and can differ from measured ones.

The 10 most intense peaks (2θ = 10–80°), low angle first:
- 2θ 32.80, I 100
- 2θ 32.99, I 98
- 2θ 38.07, I 85
- 2θ 38.34, I 42
- 2θ 54.68, I 15
- 2θ 55.15, I 73
- 2θ 65.36, I 30
- 2θ 65.70, I 29
- 2θ 68.75, I 15
- 2θ 69.19, I 15

Atomic structure:
```
Pu2TaN3
1.0
0.0000 4.6957 9.9855
3.3569 0.0000 9.9855
3.3569 4.6957 0.0000
Pu Ta N
8 4 12
direct
0.0427 0.0427 0.2073 Pu
0.1232 0.1232 0.6268 Pu
0.2073 0.2073 0.0427 Pu
0.3732 0.3732 0.8768 Pu
0.6268 0.6268 0.1232 Pu
0.7927 0.7927 0.9573 Pu
0.8768 0.8768 0.3732 Pu
0.9573 0.9573 0.7927 Pu
0.2900 0.2900 0.4600 Ta
0.4600 0.4600 0.2900 Ta
0.5400 0.5400 0.7100 Ta
0.7100 0.7100 0.5400 Ta
0.0348 0.5393 0.2413 N
0.1558 0.5942 0.5942 N
0.2413 0.6846 0.0348 N
0.3154 0.7587 0.4607 N
0.4058 0.8442 0.8442 N
0.4607 0.9652 0.3154 N
0.5393 0.0348 0.6846 N
0.5942 0.1558 0.1558 N
0.6846 0.2413 0.5393 N
0.7587 0.3154 0.9652 N
0.8442 0.4058 0.4058 N
0.9652 0.4607 0.7587 N
```

# 4
The following is a theoretical X-ray diffraction stick pattern of AlGa2Sn. It was derived from a cell relaxed with GGA-PBE, using Cu Kα, 1.54184 Å.
Peak positions follow from Bragg's law for the DFT cell and can differ from measured ones.

The 10 most intense peaks (2θ = 10–80°), low angle first:
- 2θ 21.99, I 17
- 2θ 25.33, I 25
- 2θ 31.93, I 100
- 2θ 35.63, I 38
- 2θ 40.97, I 51
- 2θ 47.63, I 65
- 2θ 55.40, I 21
- 2θ 72.58, I 19
- 2θ 73.14, I 18
- 2θ 75.27, I 16

Atomic structure:
```
AlGa2Sn
1.0
-2.0630 2.0630 10.0783
2.0630 -2.0630 10.0783
2.0630 2.0630 -10.0783
Al Ga Sn
2 4 2
direct
0.0000 0.0000 0.0000 Al
0.7500 0.2500 0.5000 Al
0.1011 0.6250 0.9761 Ga
0.3750 0.3511 0.4761 Ga
0.6489 0.1250 0.0239 Ga
0.8750 0.8989 0.5239 Ga
0.2500 0.7500 0.5000 Sn
0.5000 0.5000 0.0000 Sn
```

# 5
The following is a theoretical X-ray diffraction stick pattern of K3Au3Br8. It was derived from a cell relaxed with GGA-PBE, using Cu Kα, 1.54184 Å.
Peak positions follow from Bragg's law for the DFT cell and can differ from measured ones.

The 10 most intense peaks (2θ = 10–80°), low angle first:
- 2θ 15.67, I 100
- 2θ 16.52, I 19
- 2θ 23.20, I 16
- 2θ 24.58, I 20
- 2θ 31.66, I 87
- 2θ 32.14, I 23
- 2θ 35.61, I 18
- 2θ 38.66, I 18
- 2θ 50.48, I 16
- 2θ 50.85, I 15

Atomic structure:
```
K3Au3Br8
1.0
6.1163 -3.9880 0.0000
6.1163 3.9880 0.0000
-1.9995 0.0000 19.4924
K Au Br
6 6 16
direct
0.0031 0.9969 0.7500 K
0.2715 0.3497 0.4079 K
0.3497 0.2715 0.9079 K
0.6503 0.7285 0.0921 K
0.7285 0.6503 0.5921 K
0.9969 0.0031 0.2500 K
0.0000 0.0000 0.0000 Au
0.0000 0.0000 0.5000 Au
0.3759 0.4192 0.1948 Au
0.4192 0.3759 0.6948 Au
0.5808 0.6241 0.3052 Au
0.6241 0.5808 0.8052 Au
0.0632 0.5219 0.2536 Br
0.1397 0.7286 0.0850 Br
0.1582 0.2242 0.5558 Br
0.2242 0.1582 0.0558 Br
0.2714 0.8603 0.4150 Br
0.2808 0.6793 0.6295 Br
0.3207 0.7192 0.8705 Br
0.4781 0.9368 0.2464 Br
0.5219 0.0632 0.7536 Br
0.6793 0.2808 0.1295 Br
0.7192 0.3207 0.3705 Br
0.7286 0.1397 0.5850 Br
0.7758 0.8418 0.9442 Br
0.8418 0.7758 0.4442 Br
0.8603 0.2714 0.9150 Br
0.9368 0.4781 0.7464 Br
```

# 6
The following is a theoretical X-ray diffraction stick pattern of PrNdDy2Y6. It was derived from a cell relaxed with GGA-PBE, using Cu Kα, 1.54184 Å.
Peak positions follow from Bragg's law for the DFT cell and can differ from measured ones.

The 10 most intense peaks (2θ = 10–80°), low angle first:
- 2θ 11.73, I 31
- 2θ 27.82, I 39
- 2θ 28.38, I 59
- 2θ 30.17, I 71
- 2θ 30.44, I 75
- 2θ 31.09, I 100
- 2θ 31.20, I 57
- 2θ 31.38, I 60
- 2θ 32.23, I 46
- 2θ 33.65, I 56

Atomic structure:
```
PrNdDy2Y6
1.0
4.6140 -7.5465 0.0000
4.6140 7.5465 0.0000
-1.2451 0.0000 9.5633
Pr Nd Dy Y
2 2 4 12
direct
0.0279 0.9721 0.7500 Pr
0.9721 0.0279 0.2500 Pr
0.4087 0.5913 0.2500 Nd
0.5913 0.4087 0.7500 Nd
0.1952 0.2971 0.5488 Dy
0.2971 0.1952 0.0488 Dy
0.7029 0.8048 0.9512 Dy
0.8048 0.7029 0.4512 Dy
0.0188 0.5662 0.6808 Y
0.1178 0.7520 0.0574 Y
0.2480 0.8822 0.4426 Y
0.2946 0.5130 0.8842 Y
0.4338 0.9812 0.8192 Y
0.4870 0.7054 0.6158 Y
0.5130 0.2946 0.3842 Y
0.5662 0.0188 0.1808 Y
0.7054 0.4870 0.1158 Y
0.7520 0.1178 0.5574 Y
0.8822 0.2480 0.9426 Y
0.9812 0.4338 0.3192 Y
```

Question: What is the formula in the sixth record?
Answer: PrNdDy2Y6